1.
Simulated powder X-ray diffraction pattern
Compound: Nd2ZnSn2Rh5
Radiation: CuKα
Structure: a cell relaxed with PBE

Cell: 10.284 10.284 3.654 Å, 90.00 90.00 90.00°
Element x y z (fractional)
1 Nd 0.170 0.330 0.000
2 Nd 0.330 0.830 0.000
3 Nd 0.670 0.170 0.000
4 Nd 0.830 0.670 0.000
5 Zn 0.000 0.000 0.000
6 Zn 0.500 0.500 0.000
7 Sn 0.130 0.630 0.000
8 Sn 0.370 0.130 0.000
9 Sn 0.630 0.870 0.000
10 Sn 0.870 0.370 0.000
11 Rh 0.000 0.500 0.500
12 Rh 0.056 0.804 0.500
13 Rh 0.196 0.056 0.500
14 Rh 0.304 0.556 0.500
15 Rh 0.444 0.304 0.500
16 Rh 0.500 0.000 0.500
17 Rh 0.556 0.696 0.500
18 Rh 0.696 0.444 0.500
19 Rh 0.804 0.944 0.500
20 Rh 0.944 0.196 0.500

Principal peaks in the range 10° ≤ 2θ ≤ 80°, by intensity:
- 2θ = 37.02°, rel. 100
- 2θ = 36.01°, rel. 28
- 2θ = 40.10°, rel. 23
- 2θ = 43.02°, rel. 17
- 2θ = 49.91°, rel. 15
- 2θ = 34.81°, rel. 13
- 2θ = 63.07°, rel. 11
- 2θ = 60.35°, rel. 10
- 2θ = 63.79°, rel. 10
- 2θ = 30.00°, rel. 8



2.
Simulated powder X-ray diffraction pattern
Compound: Mg2Zn2Au5
Radiation: CuKα
Structure: a cell relaxed with PBE

Cell: 9.471 9.471 9.471 Å, 57.12 136.69 144.62°
Element x y z (fractional)
1 Mg 0.000 0.000 0.000
2 Mg 0.000 0.500 0.500
3 Mg 0.052 0.253 0.299
4 Mg 0.954 0.753 0.701
5 Zn 0.443 0.566 0.014
6 Zn 0.443 0.929 0.378
7 Zn 0.551 0.066 0.622
8 Zn 0.551 0.429 0.986
9 Au 0.000 0.141 0.635
10 Au 0.000 0.865 0.359
11 Au 0.440 0.249 0.691
12 Au 0.506 0.089 0.090
13 Au 0.506 0.365 0.365
14 Au 0.506 0.641 0.641
15 Au 0.506 0.916 0.917
16 Au 0.559 0.749 0.309
17 Au 0.999 0.416 0.910
18 Au 0.999 0.589 0.083

Principal peaks in the range 10° ≤ 2θ ≤ 80°, by intensity:
- 2θ = 40.60°, rel. 100
- 2θ = 33.49°, rel. 84
- 2θ = 38.02°, rel. 69
- 2θ = 40.07°, rel. 53
- 2θ = 64.73°, rel. 52
- 2θ = 10.63°, rel. 47
- 2θ = 37.48°, rel. 40
- 2θ = 19.98°, rel. 36
- 2θ = 42.06°, rel. 35
- 2θ = 25.48°, rel. 33



3.
Simulated powder X-ray diffraction pattern
Compound: HfAg3Cl8
Radiation: CuKα
Structure: a cell relaxed with PBE

Cell: 6.934 6.934 7.799 Å, 90.00 90.00 118.00°
Element x y z (fractional)
1 Hf 0.000 0.000 0.000
2 Ag 0.000 0.000 0.500
3 Ag 0.000 0.500 0.265
4 Ag 0.500 0.000 0.735
5 Cl 0.211 0.789 0.000
6 Cl 0.213 0.787 0.500
7 Cl 0.239 0.256 0.218
8 Cl 0.256 0.239 0.782
9 Cl 0.744 0.761 0.782
10 Cl 0.761 0.744 0.218
11 Cl 0.787 0.213 0.500
12 Cl 0.789 0.211 0.000

Principal peaks in the range 10° ≤ 2θ ≤ 80°, by intensity:
- 2θ = 14.47°, rel. 100
- 2θ = 34.04°, rel. 72
- 2θ = 18.42°, rel. 63
- 2θ = 46.04°, rel. 54
- 2θ = 30.07°, rel. 45
- 2θ = 27.11°, rel. 45
- 2θ = 46.54°, rel. 29
- 2θ = 28.18°, rel. 17
- 2θ = 39.97°, rel. 13
- 2θ = 27.35°, rel. 12



4.
Simulated powder X-ray diffraction pattern
Compound: Pa3AlB
Radiation: CuKα
Structure: a cell relaxed with PBE

Cell: 4.835 4.835 4.835 Å, 90.00 90.00 90.00°
Element x y z (fractional)
1 Pa 0.000 0.000 0.500
2 Pa 0.000 0.500 0.000
3 Pa 0.500 0.000 0.000
4 Al 0.500 0.500 0.500
5 B 0.000 0.000 0.000

Principal peaks in the range 10° ≤ 2θ ≤ 80°, by intensity:
- 2θ = 32.06°, rel. 100
- 2θ = 37.19°, rel. 53
- 2θ = 63.85°, rel. 44
- 2θ = 53.61°, rel. 38
- 2θ = 18.35°, rel. 26
- 2θ = 26.06°, rel. 18
- 2θ = 67.06°, rel. 13
- 2θ = 41.78°, rel. 13
- 2θ = 45.98°, rel. 9
- 2θ = 57.15°, rel. 7



5.
Simulated powder X-ray diffraction pattern
Compound: RbCe3Cl10
Radiation: CuKα
Structure: a cell relaxed with PBE

Cell: 10.343 10.343 10.343 Å, 60.00 60.00 60.00°
Element x y z (fractional)
1 Rb 0.250 0.250 0.250
2 Rb 0.750 0.750 0.750
3 Ce 0.240 0.240 0.760
4 Ce 0.240 0.760 0.240
5 Ce 0.240 0.760 0.760
6 Ce 0.760 0.240 0.240
7 Ce 0.760 0.240 0.760
8 Ce 0.760 0.760 0.240
9 Cl 0.115 0.115 0.115
10 Cl 0.115 0.115 0.654
11 Cl 0.115 0.654 0.115
12 Cl 0.165 0.500 0.500
13 Cl 0.165 0.500 0.835
14 Cl 0.165 0.835 0.500
15 Cl 0.346 0.885 0.885
16 Cl 0.500 0.165 0.500
17 Cl 0.500 0.165 0.835
18 Cl 0.500 0.500 0.165
19 Cl 0.500 0.500 0.835
20 Cl 0.500 0.835 0.165
21 Cl 0.500 0.835 0.500
22 Cl 0.654 0.115 0.115
23 Cl 0.835 0.165 0.500
24 Cl 0.835 0.500 0.165
25 Cl 0.835 0.500 0.500
26 Cl 0.885 0.346 0.885
27 Cl 0.885 0.885 0.346
28 Cl 0.885 0.885 0.885

Principal peaks in the range 10° ≤ 2θ ≤ 80°, by intensity:
- 2θ = 21.04°, rel. 100
- 2θ = 40.93°, rel. 81
- 2θ = 34.69°, rel. 72
- 2θ = 24.34°, rel. 34
- 2θ = 62.18°, rel. 31
- 2θ = 54.70°, rel. 27
- 2θ = 77.16°, rel. 22
- 2θ = 31.79°, rel. 22
- 2θ = 17.15°, rel. 14
- 2θ = 49.87°, rel. 14



6.
Simulated powder X-ray diffraction pattern
Compound: Sr4Tl2N
Radiation: CuKα
Structure: a cell relaxed with PBE

Cell: 9.238 9.238 9.238 Å, 146.61 146.61 47.95°
Element x y z (fractional)
1 Sr 0.000 0.500 0.500
2 Sr 0.157 0.157 0.000
3 Sr 0.500 0.000 0.500
4 Sr 0.843 0.843 0.000
5 Tl 0.361 0.361 0.000
6 Tl 0.639 0.639 0.000
7 N 0.000 0.000 0.000

Principal peaks in the range 10° ≤ 2θ ≤ 80°, by intensity:
- 2θ = 31.91°, rel. 100
- 2θ = 33.77°, rel. 58
- 2θ = 59.22°, rel. 47
- 2θ = 23.70°, rel. 41
- 2θ = 25.98°, rel. 35
- 2θ = 47.07°, rel. 23
- 2θ = 48.51°, rel. 21
- 2θ = 17.51°, rel. 19
- 2θ = 31.80°, rel. 18
- 2θ = 23.03°, rel. 17



7.
Simulated powder X-ray diffraction pattern
Compound: Ce2Tl2Br7
Radiation: CuKα
Structure: a cell relaxed with PBE

Cell: 7.284 7.284 7.748 Å, 90.00 90.00 99.34°
Element x y z (fractional)
1 Ce 0.219 0.781 0.000
2 Ce 0.781 0.219 0.000
3 Tl 0.288 0.288 0.500
4 Tl 0.712 0.712 0.500
5 Br 0.000 0.000 0.235
6 Br 0.000 0.000 0.765
7 Br 0.000 0.500 0.246
8 Br 0.000 0.500 0.754
9 Br 0.500 0.000 0.246
10 Br 0.500 0.000 0.754
11 Br 0.500 0.500 0.000

Principal peaks in the range 10° ≤ 2θ ≤ 80°, by intensity:
- 2θ = 34.03°, rel. 100
- 2θ = 22.07°, rel. 75
- 2θ = 19.67°, rel. 60
- 2θ = 39.40°, rel. 42
- 2θ = 32.24°, rel. 38
- 2θ = 34.85°, rel. 22
- 2θ = 38.19°, rel. 20
- 2θ = 52.09°, rel. 19
- 2θ = 26.13°, rel. 16
- 2θ = 50.82°, rel. 15



8.
Simulated powder X-ray diffraction pattern
Compound: Rb2In6Hg3
Radiation: CuKα
Structure: a cell relaxed with PBE

Cell: 9.216 9.216 4.767 Å, 90.00 90.00 120.00°
Element x y z (fractional)
1 Rb 0.333 0.667 0.000
2 Rb 0.667 0.333 0.000
3 In 0.000 0.194 0.000
4 In 0.000 0.723 0.500
5 In 0.194 0.000 0.000
6 In 0.277 0.277 0.500
7 In 0.723 0.000 0.500
8 In 0.806 0.806 0.000
9 Hg 0.000 0.398 0.500
10 Hg 0.398 0.000 0.500
11 Hg 0.602 0.602 0.500

Principal peaks in the range 10° ≤ 2θ ≤ 80°, by intensity:
- 2θ = 35.21°, rel. 100
- 2θ = 26.91°, rel. 70
- 2θ = 19.26°, rel. 35
- 2θ = 40.76°, rel. 33
- 2θ = 37.74°, rel. 31
- 2θ = 33.69°, rel. 26
- 2θ = 29.61°, rel. 26
- 2θ = 56.76°, rel. 25
- 2θ = 29.18°, rel. 22
- 2θ = 38.76°, rel. 19



9.
Simulated powder X-ray diffraction pattern
Compound: ZnCd2As2Pd5
Radiation: CuKα
Structure: a cell relaxed with PBE

Cell: 10.406 10.406 3.166 Å, 90.00 90.00 90.00°
Element x y z (fractional)
1 Zn 0.000 0.000 0.000
2 Zn 0.500 0.500 0.000
3 Cd 0.174 0.326 0.000
4 Cd 0.326 0.826 0.000
5 Cd 0.674 0.174 0.000
6 Cd 0.826 0.674 0.000
7 As 0.141 0.641 0.000
8 As 0.359 0.141 0.000
9 As 0.641 0.859 0.000
10 As 0.859 0.359 0.000
11 Pd 0.000 0.500 0.500
12 Pd 0.017 0.799 0.500
13 Pd 0.201 0.017 0.500
14 Pd 0.299 0.517 0.500
15 Pd 0.483 0.299 0.500
16 Pd 0.500 0.000 0.500
17 Pd 0.517 0.701 0.500
18 Pd 0.701 0.483 0.500
19 Pd 0.799 0.983 0.500
20 Pd 0.983 0.201 0.500

Principal peaks in the range 10° ≤ 2θ ≤ 80°, by intensity:
- 2θ = 39.49°, rel. 100
- 2θ = 36.64°, rel. 67
- 2θ = 45.10°, rel. 41
- 2θ = 37.47°, rel. 38
- 2θ = 75.83°, rel. 27
- 2θ = 52.78°, rel. 24
- 2θ = 33.12°, rel. 19
- 2θ = 70.84°, rel. 19
- 2θ = 35.57°, rel. 19
- 2θ = 58.28°, rel. 17



10.
Simulated powder X-ray diffraction pattern
Compound: DyTmInPb
Radiation: CuKα
Structure: a cell relaxed with PBE

Cell: 5.626 5.626 5.626 Å, 127.79 127.79 76.96°
Element x y z (fractional)
1 Dy 0.000 0.000 0.000
2 Tm 0.500 0.500 0.000
3 In 0.250 0.750 0.500
4 Pb 0.750 0.250 0.500

Principal peaks in the range 10° ≤ 2θ ≤ 80°, by intensity:
- 2θ = 32.67°, rel. 100
- 2θ = 36.29°, rel. 38
- 2θ = 63.01°, rel. 31
- 2θ = 55.88°, rel. 22
- 2θ = 40.98°, rel. 14
- 2θ = 52.26°, rel. 13
- 2θ = 68.47°, rel. 12
- 2θ = 69.42°, rel. 11
- 2θ = 20.58°, rel. 5
- 2θ = 77.04°, rel. 4



11.
Simulated powder X-ray diffraction pattern
Compound: LaAsOs2
Radiation: CuKα
Structure: a cell relaxed with PBE

Cell: 2.993 4.226 6.215 Å, 90.00 100.70 90.00°
Element x y z (fractional)
1 La 0.000 0.000 0.000
2 As 0.368 0.500 0.697
3 Os 0.401 0.000 0.465
4 Os 0.794 0.500 0.341

Principal peaks in the range 10° ≤ 2θ ≤ 80°, by intensity:
- 2θ = 36.29°, rel. 100
- 2θ = 37.93°, rel. 81
- 2θ = 14.50°, rel. 66
- 2θ = 42.80°, rel. 36
- 2θ = 42.30°, rel. 22
- 2θ = 29.25°, rel. 20
- 2θ = 57.32°, rel. 18
- 2θ = 37.25°, rel. 16
- 2θ = 67.44°, rel. 16
- 2θ = 44.14°, rel. 14



12.
Simulated powder X-ray diffraction pattern
Compound: Na2NbBr6
Radiation: CuKα
Structure: a cell relaxed with PBE

Cell: 7.544 7.544 7.544 Å, 58.27 58.27 58.27°
Element x y z (fractional)
1 Na 0.203 0.203 0.203
2 Na 0.797 0.797 0.797
3 Nb 0.000 0.000 0.000
4 Br 0.120 0.347 0.775
5 Br 0.225 0.880 0.653
6 Br 0.347 0.775 0.120
7 Br 0.653 0.225 0.880
8 Br 0.775 0.120 0.347
9 Br 0.880 0.653 0.225

Principal peaks in the range 10° ≤ 2θ ≤ 80°, by intensity:
- 2θ = 28.19°, rel. 100
- 2θ = 14.71°, rel. 45
- 2θ = 37.84°, rel. 34
- 2θ = 16.85°, rel. 26
- 2θ = 42.64°, rel. 24
- 2θ = 50.43°, rel. 22
- 2θ = 34.08°, rel. 21
- 2θ = 52.09°, rel. 18
- 2θ = 28.62°, rel. 17
- 2θ = 44.80°, rel. 17